[1]
Starting from DFT lattice parameters and positions (PBE), the powder XRD pattern of RbSb2Cl6 was calculated for Cu Ka.

Main lines, sorted by position (2θ = 15–90°):
| two_theta | intensity |
| --- | --- |
| 17.1 | 45 |
| 17.9 | 36 |
| 18.4 | 29 |
| 22.0 | 40 |
| 23.5 | 17 |
| 25.3 | 18 |
| 30.9 | 100 |
| 33.2 | 23 |
| 38.2 | 19 |
| 38.4 | 19 |
| 40.6 | 16 |
| 44.3 | 39 |

Crystal structure
```
RbSb2Cl6
1.0
6.6735 -2.8981 0.0000
6.6735 2.8981 0.0000
-4.9277 0.0000 8.7990
Rb Sb Cl
1 2 6
Cartesian
0.0000 0.0000 0.0000
-0.4803 0.0000 5.1714
8.8997 0.0000 3.6276
-2.8448 0.0000 6.1899
2.0008 0.0000 3.7450
0.5423 0.0000 7.4293
7.8770 0.0000 1.3697
6.4186 0.0000 5.0540
11.2641 0.0000 2.6091
```

---

[2]
Starting from DFT lattice parameters and positions (PBE), the powder XRD pattern of Ce5NdPb6 was calculated for Cu Ka.

Main lines, sorted by position (2θ = 15–90°):
| two_theta | intensity |
| --- | --- |
| 23.9 | 6 |
| 27.7 | 100 |
| 39.6 | 78 |
| 46.8 | 3 |
| 49.0 | 28 |
| 57.2 | 13 |
| 64.7 | 6 |
| 64.7 | 31 |
| 71.8 | 21 |
| 71.9 | 7 |
| 85.2 | 5 |
| 85.3 | 4 |

Crystal structure
```
Ce5NdPb6
1.0
3.9415 -6.8388 0.0000
3.9415 6.8388 0.0000
-2.6364 0.0000 7.4374
Ce Nd Pb
5 1 6
Cartesian
0.0000 0.0000 0.0000
2.6233 4.5504 3.7187
3.9415 2.2463 0.0000
3.9415 -2.2463 0.0000
2.6233 -4.5504 3.7187
2.6233 0.0000 3.7187
1.2899 2.3135 1.8290
-0.0507 0.0000 5.5848
1.2899 -2.3135 1.8290
3.9567 2.3135 5.6085
5.2973 0.0000 1.8526
3.9567 -2.3135 5.6085
```

---

[3]
Starting from DFT lattice parameters and positions (PBE), the powder XRD pattern of BeGePd was calculated for Cu Ka.

Main lines, sorted by position (2θ = 15–90°):
| two_theta | intensity |
| --- | --- |
| 25.8 | 16 |
| 27.3 | 93 |
| 35.9 | 70 |
| 44.0 | 99 |
| 44.6 | 100 |
| 53.0 | 14 |
| 58.5 | 17 |
| 64.5 | 31 |
| 76.5 | 15 |
| 80.3 | 18 |
| 81.8 | 32 |
| 82.1 | 16 |

Crystal structure
```
BeGePd
1.0
2.0323 1.1734 5.9121
-2.0323 1.1734 5.9121
0.0000 -2.3467 5.9121
Be Ge Pd
2 2 2
Cartesian
0.0000 0.0000 0.0000
0.0000 0.0000 7.5246
0.0000 0.0000 5.0374
0.0000 0.0000 15.2100
0.0000 0.0000 2.3744
0.0000 0.0000 12.4645
```

---

[4]
Starting from DFT lattice parameters and positions (PBE), the powder XRD pattern of NaCeSn6 was calculated for Cu Ka.

Main lines, sorted by position (2θ = 15–90°):
| two_theta | intensity |
| --- | --- |
| 21.0 | 5 |
| 28.4 | 3 |
| 32.8 | 100 |
| 37.6 | 17 |
| 38.2 | 33 |
| 54.7 | 24 |
| 55.2 | 12 |
| 64.9 | 14 |
| 65.7 | 28 |
| 68.7 | 12 |
| 80.4 | 2 |
| 81.8 | 4 |

Crystal structure
```
NaCeSn6
1.0
4.7076 0.0000 0.0000
0.0000 4.7076 0.0000
0.0000 0.0000 9.5590
Na Ce Sn
1 1 6
Cartesian
0.0000 0.0000 0.0000
0.0000 0.0000 4.7795
0.0000 2.3538 2.3553
0.0000 2.3538 7.2037
2.3538 0.0000 2.3553
2.3538 0.0000 7.2037
2.3538 2.3538 0.0000
2.3538 2.3538 4.7795
```